Diffraction record for CaVSi4H6O15. The PXRD pattern is calculated, not measured: it uses a cell relaxed with GGA+U and copper Kα.
Neutral-atom scattering factors, no anomalous dispersion.

Cell and atoms:
```
data_CaVSi4H6O15
_cell_length_a 14.011
_cell_length_b 10.457
_cell_length_c 9.159
_cell_angle_alpha 90.00
_cell_angle_beta 90.00
_cell_angle_gamma 90.00
_symmetry_space_group_name_H-M 'C m c 21'
_symmetry_Int_Tables_number 36
loop_
_symmetry_equiv_pos_as_xyz
'x,y,z'
'-x,-y,z+1/2'
'-x,y,z'
'x,-y,z+1/2'
'x+1/2,y+1/2,z'
'-x+1/2,-y+1/2,z+1/2'
'-x+1/2,y+1/2,z'
'x+1/2,-y+1/2,z+1/2'
loop_
_atom_site_label
_atom_site_type_symbol
_atom_site_fract_x
_atom_site_fract_y
_atom_site_fract_z
Ca1 Ca 0.000 0.239 0.000
V1 V 0.000 0.047 0.680
Si1 Si 0.208 0.105 0.144
Si2 Si 0.210 0.144 0.805
H1 H 0.000 0.360 0.534
H2 H 0.000 0.378 0.329
H3 H 0.078 0.473 0.969
H4 H 0.164 0.407 0.051
O1 O 0.000 0.122 0.526
O2 O 0.000 0.350 0.211
O3 O 0.000 0.427 0.459
O4 O 0.092 0.087 0.148
O5 O 0.093 0.136 0.795
O6 O 0.120 0.391 0.970
O7 O 0.242 0.129 0.975
O8 O 0.243 0.226 0.240
O9 O 0.245 0.472 0.205
```

Principal peaks in the range 15 to 90 degrees two-theta, by angle:
hkl  2θ/deg  d (Å)  I/Imax
0 0 2  19.4  4.579  33
0 2 1  19.6  4.541  57
1 1 2  22.1  4.018  100
2 0 2  23.2  3.833  40
2 2 1  23.3  3.810  63
4 0 0  25.4  3.503  83
4 2 1  32.3  2.773  26
3 3 1  33.5  2.672  68
0 2 3  34.0  2.636  27
3 3 2  37.7  2.385  24